The following is a theoretical X-ray diffraction stick pattern of BaVPbS4. It was derived from a DFT-relaxed cell (PBE, Alexandria), using Cu Ka.

Peak list (12 most intense, 2θ = 15–90°, low angle first)
- (1 1 0), d = 4.682 Å, rel. 100
- (1 1 -2), d = 3.495 Å, rel. 78
- (0 2 0), d = 3.366 Å, rel. 58
- (2 0 0), d = 3.258 Å, rel. 28
- (2 0 -2), d = 3.058 Å, rel. 70
- (1 1 2), d = 2.785 Å, rel. 88
- (0 2 2), d = 2.599 Å, rel. 60
- (2 2 0), d = 2.341 Å, rel. 50
- (1 0 -4), d = 2.154 Å, rel. 32
- (1 3 0), d = 2.120 Å, rel. 29
- (2 1 -4), d = 1.956 Å, rel. 24
- (1 3 2), d = 1.809 Å, rel. 24

Atomic structure:
```
BaVPbS4
1.0
6.858 0.000 0.000
0.000 6.732 0.000
-2.683 0.000 8.186
Ba V Pb S
2 2 2 8
direct
0.222 0.250 0.428
0.778 0.750 0.572
0.284 0.750 0.197
0.716 0.250 0.803
0.259 0.250 0.948
0.741 0.750 0.052
0.087 0.750 0.361
0.099 0.750 0.936
0.497 0.002 0.249
0.497 0.498 0.249
0.503 0.502 0.751
0.503 0.998 0.751
0.901 0.250 0.064
0.913 0.250 0.639
```